(1)
Structure and computed powder X-ray diffraction pattern of PrSiI (the GGA-PBE geometry in the Materials Project; copper Kα).

Main lines, in order of rising 2θ (2θ from 10° to 80°):
Position (°2θ)  d [Å]  intensity
14.72  6.017  18
24.58  3.621  9
25.69  3.467  66
28.78  3.103  47
33.33  2.688  100
43.28  2.091  44
45.22  2.005  27
51.01  1.790  10
53.36  1.717  10
55.70  1.650  23
64.37  1.447  29
73.05  1.295  20

Structure:
```
6
Lattice="4.1812 0.0000 0.0000 -2.0906 3.6210 0.0000 0.0000 0.0000 12.0344" Properties=species:S:1:pos:R:3 pbc="T T T"
Pr 0.0000 0.0000 2.0242
Pr 0.0000 0.0000 10.0102
Si 0.0000 2.4140 0.0572
Si 2.0906 1.2070 11.9773
I 0.0000 2.4140 7.8552
I 2.0906 1.2070 4.1793
```

(2)
Structure and computed powder X-ray diffraction pattern of Sr2Al3Ge (the GGA-PBE geometry in the Materials Project; copper Kα).

Main lines, in order of rising 2θ (2θ from 10° to 80°):
Position (°2θ)  d [Å]  intensity
23.24  3.828  15
25.03  3.557  6
29.82  2.996  100
37.36  2.407  15
40.83  2.210  35
44.46  2.038  6
51.38  1.778  21
56.53  1.628  26
62.79  1.480  12
67.62  1.386  19
74.34  1.276  6
77.65  1.230  6

Structure:
```
6
Lattice="4.4199 0.0000 0.0000 -2.2099 3.8277 0.0000 0.0000 0.0000 9.6285" Properties=species:S:1:pos:R:3 pbc="T T T"
Sr 0.0000 0.0000 2.3910
Sr 0.0000 0.0000 7.2375
Al 0.0000 2.5518 0.0000
Al 2.2099 1.2759 0.0000
Al 2.2099 1.2759 4.8142
Ge 0.0000 2.5518 4.8142
```

(3)
Structure and computed powder X-ray diffraction pattern of MgMoW2Se2S4 (the GGA-PBE geometry in the Materials Project; copper Kα).

Main lines, in order of rising 2θ (2θ from 10° to 80°):
Position (°2θ)  d [Å]  intensity
11.95  7.403  71
14.36  6.169  58
32.01  2.796  100
32.36  2.766  31
33.46  2.678  68
35.22  2.548  92
36.34  2.472  56
40.41  2.232  81
42.00  2.151  89
49.24  1.851  45
57.03  1.615  52
57.96  1.591  36

Structure:
```
10
Lattice="3.2304 0.0000 0.0000 -1.6152 2.7976 0.0000 0.0000 0.0000 37.0144" Properties=species:S:1:pos:R:3 pbc="T T T"
Mg 0.0000 0.0000 0.0000
Mo 0.0000 1.8651 4.5683
W 0.0000 0.0000 12.8933
W 0.0000 0.0000 32.3480
Se 0.0000 0.0000 2.8515
Se 0.0000 0.0000 6.2781
S 0.0000 1.8651 11.3334
S 0.0000 1.8651 14.4528
S 0.0000 1.8651 30.7918
S 0.0000 1.8651 33.9099
```

(4)
Structure and computed powder X-ray diffraction pattern of Eu3Th (the GGA-PBE geometry in the Materials Project; copper Kα).

Main lines, in order of rising 2θ (2θ from 10° to 80°):
Position (°2θ)  d [Å]  intensity
16.51  5.368  3
23.44  3.796  3
28.81  3.099  100
33.39  2.684  51
37.46  2.401  2
41.19  2.191  1
47.94  1.898  37
56.89  1.618  45
59.67  1.550  13
70.13  1.342  6
77.52  1.231  19
79.93  1.200  17

Structure:
```
4
Lattice="5.3678 0.0000 0.0000 0.0000 5.3678 0.0000 0.0000 0.0000 5.3678" Properties=species:S:1:pos:R:3 pbc="T T T"
Eu 0.0000 0.0000 2.6839
Eu 0.0000 2.6839 0.0000
Eu 2.6839 0.0000 0.0000
Th 2.6839 2.6839 2.6839
```

(5)
Structure and computed powder X-ray diffraction pattern of NaSr3GdP3O12F (the GGA-PBE geometry in the Materials Project; copper Kα).

Main lines, in order of rising 2θ (2θ from 10° to 80°):
Position (°2θ)  d [Å]  intensity
12.28  7.207  26
16.21  5.467  36
22.11  4.020  53
26.93  3.311  31
28.14  3.171  33
30.81  2.902  100
30.93  2.891  69
32.00  2.797  55
45.09  2.011  35
46.46  1.955  30
47.48  1.915  41
50.34  1.813  26

Structure:
```
42
Lattice="9.6874 0.0000 0.0000 -4.8437 8.3896 0.0000 0.0000 0.0000 7.2067" Properties=species:S:1:pos:R:3 pbc="T T T"
Na 0.0000 5.5930 0.1108
Na 4.8437 2.7965 7.0959
Sr -3.4939 6.3725 1.7161
Sr 1.0719 2.1775 1.7161
Sr 2.4217 0.1605 5.4907
Sr 2.4220 8.2291 1.7161
Sr 3.7718 6.2121 5.4907
Sr 8.3376 2.0171 5.4907
Gd 0.0000 5.5930 3.7288
Gd 4.8437 2.7965 3.4780
P -2.7095 5.2492 5.3246
P 1.6526 3.4185 5.3246
P 3.7868 0.2781 1.8821
P 1.0569 8.1115 5.3246
P 3.1912 4.9711 1.8821
P 7.5532 3.1404 1.8821
O -3.0461 6.2068 6.4923
O -2.5125 6.1156 4.0367
O -1.3466 4.5298 5.5297
O -0.9816 4.1763 2.0243
O 0.9915 2.6482 6.4923
O 0.8037 3.1559 4.0367
O 2.7891 0.4654 0.7144
O -0.7361 7.1516 2.0243
O 3.1349 0.8819 3.1700
O -0.2475 7.2909 5.5297
O 1.5942 4.9585 5.5297
O 3.1259 2.9383 5.1824
O 1.7178 5.4513 2.0243
O 3.2496 3.4311 1.6770
O 5.0912 1.0986 1.6770
O 1.7088 7.5076 4.0367
O 5.5799 1.2380 5.1824
O 2.0546 7.9241 6.4923
O 4.0400 5.2337 3.1700
O 3.8522 5.7414 0.7144
O 5.8254 4.2133 5.1824
O 6.1904 3.8598 1.6770
O 7.3562 2.2740 3.1700
O 7.8898 2.1827 0.7144
F 0.0000 0.0000 1.8926
F 0.0000 0.0000 5.3142
```

(6)
Structure and computed powder X-ray diffraction pattern of SmSbO4 (the GGA-PBE geometry in the Materials Project; copper Kα).

Main lines, in order of rising 2θ (2θ from 10° to 80°):
Position (°2θ)  d [Å]  intensity
23.33  3.813  14
28.49  3.133  100
28.64  3.117  75
29.43  3.035  31
30.38  2.943  14
32.57  2.749  30
36.12  2.487  14
45.14  2.008  16
47.55  1.912  15
49.43  1.844  24
54.50  1.684  15
55.69  1.650  23

Structure:
```
24
Lattice="7.7352 0.0000 0.0000 0.0000 5.4965 0.0000 -1.2796 0.0000 7.5682" Properties=species:S:1:pos:R:3 pbc="T T T"
Sm 0.6316 1.2372 2.9870
Sm -0.0082 1.5110 6.7711
Sm 6.4639 3.9854 0.7971
Sm 5.8241 4.2593 4.5811
Sb 2.3554 4.0222 1.4815
Sb 1.7156 4.2225 5.2656
Sb 4.7401 1.2739 2.3026
Sb 4.1003 1.4743 6.0867
O 0.6893 2.8729 1.3143
O 0.0495 5.3718 5.0983
O 1.1892 0.0162 0.9480
O 0.5495 2.7320 4.7321
O 1.3480 3.4592 7.1264
O 1.9878 4.7855 3.3423
O 2.3432 0.5047 6.0741
O 2.9829 2.2435 2.2900
O 3.4727 3.2529 5.2781
O 4.1125 4.9918 1.4940
O 4.4678 0.7110 4.2258
O 5.1076 2.0372 0.4418
O 5.9062 2.7644 2.8361
O 5.2664 5.4803 6.6202
O 6.4062 0.1246 2.4698
O 5.7664 2.6236 6.2539
```

(7)
Structure and computed powder X-ray diffraction pattern of UI4 (the GGA-PBE geometry in the Materials Project; copper Kα).

Main lines, in order of rising 2θ (2θ from 10° to 80°):
Position (°2θ)  d [Å]  intensity
11.54  7.671  47
11.78  7.513  58
16.17  5.481  38
16.47  5.382  31
23.70  3.754  19
25.65  3.473  58
26.15  3.408  100
32.97  2.716  27
33.59  2.668  42
40.59  2.222  38
42.72  2.117  43
48.49  1.877  29

Structure:
```
10
Lattice="7.5182 -4.4605 0.0000 7.5182 4.4605 0.0000 -0.2727 0.0000 7.6896" Properties=species:S:1:pos:R:3 pbc="T T T"
U 7.3137 3.1820 5.7672
U 7.4500 -3.1820 1.9224
I 1.4407 1.0014 7.1346
I 13.3230 -1.0014 0.5549
I 1.5770 -1.0014 3.2899
I 5.4924 1.2199 4.6927
I 9.1349 1.2199 6.8417
I 5.6288 -1.2199 0.8479
I 9.2713 -1.2199 2.9969
I 13.1867 1.0014 4.3997
```

Question: What is the formula in the second record?
Answer: Sr2Al3Ge